Diffraction record for Tm5In4Pd2. The powder XRD pattern is theoretical, not measured: it uses DFT lattice parameters and positions (GGA-PBE) and Cu Kα.

The 6 most intense peaks (10° ≤ 2θ ≤ 90°), sorted by position:
| two_theta | intensity |
| --- | --- |
| 33.8 | 972 |
| 34.8 | 449 |
| 34.9 | 1000 |
| 36.5 | 485 |
| 36.7 | 304 |
| 37.0 | 439 |

Crystal structure
```
data_Tm5In4Pd2
_cell_length_a 8.064
_cell_length_b 18.084
_cell_length_c 3.586
_cell_angle_alpha 90.00
_cell_angle_beta 90.00
_cell_angle_gamma 90.00
_symmetry_space_group_name_H-M 'P 1'
_symmetry_Int_Tables_number 1
loop_
_symmetry_equiv_pos_as_xyz
'x,y,z'
loop_
_atom_site_label
_atom_site_fract_x
_atom_site_fract_y
_atom_site_fract_z
Tm1 0.000 0.000 0.000
Tm2 0.112 0.417 0.000
Tm3 0.239 0.220 0.000
Tm4 0.261 0.720 0.000
Tm5 0.388 0.917 0.000
Tm6 0.500 0.500 0.000
Tm7 0.612 0.083 0.000
Tm8 0.739 0.280 0.000
Tm9 0.761 0.780 0.000
Tm10 0.888 0.583 0.000
In1 0.083 0.852 0.500
In2 0.213 0.569 0.500
In3 0.287 0.069 0.500
In4 0.417 0.352 0.500
In5 0.583 0.648 0.500
In6 0.713 0.931 0.500
In7 0.787 0.431 0.500
In8 0.917 0.148 0.500
Pd1 0.024 0.303 0.500
Pd2 0.476 0.803 0.500
Pd3 0.524 0.197 0.500
Pd4 0.976 0.697 0.500
```